[1]
Structure and calculated powder X-ray diffraction pattern of Te2S2I (the PBE geometry in Alexandria; Cu Kα (weighted mean of Kα1 and Kα2)).
Kinematic intensities with the Lorentz-polarization factor, no thermal factor.

Peak list (10 most intense, 10 to 90 degrees two-theta, in order of rising 2θ)
2theta, intensity
17.92, 25
22.89, 100
25.67, 53
27.78, 37
29.62, 96
35.41, 41
36.29, 26
37.76, 74
45.22, 25
51.81, 24

Cell and atoms:
```
5
Lattice="4.2461 -3.2114 0.0000 4.2461 3.2114 0.0000 -2.7562 0.0000 6.2511" Properties=species:S:1:pos:R:3 pbc="T T T"
Te -0.3091 0.0000 1.7013
Te 6.0452 0.0000 4.5498
S 2.8681 1.5475 3.1256
S 2.8681 -1.5475 3.1256
I 4.2461 0.0000 0.0000
```



[2]
Structure and calculated powder X-ray diffraction pattern of Ti3S2I4 (the PBE geometry in Alexandria; Cu Kα (weighted mean of Kα1 and Kα2)).
Kinematic intensities with the Lorentz-polarization factor, no thermal factor.

Peak list (10 most intense, 10 to 90 degrees two-theta, in order of rising 2θ)
2theta, intensity
10.47, 17
21.02, 26
28.55, 74
29.42, 32
35.72, 100
40.52, 26
43.22, 16
50.56, 31
63.44, 18
85.27, 16

Cell and atoms:
```
9
Lattice="3.6105 0.0000 0.0000 -1.8053 3.1268 0.0000 0.0000 0.0000 25.3598" Properties=species:S:1:pos:R:3 pbc="T T T"
Ti 0.0000 0.0000 0.0000
Ti 0.0000 2.0845 6.6160
Ti 0.0000 2.0845 18.7438
S 0.0000 2.0845 1.4478
S 0.0000 2.0845 23.9120
I 0.0000 0.0000 4.7748
I 0.0000 0.0000 8.4703
I 0.0000 0.0000 16.8895
I 0.0000 0.0000 20.5850
```